Diffraction record for YTm5Bi6. The X-ray diffraction stick pattern is theoretical, not measured: it uses a cell relaxed with PBE and λ = 1.5418 Å (Cu Kα).
Neutral-atom scattering factors, no anomalous dispersion.

Cell and atoms:
a = 7.6675 Å, b = 7.6675 Å, c = 7.6671 Å
α = 99.59°, β = 99.59°, γ = 119.99°
Atoms (fractional coordinates):
Y 0.0000 0.0000 0.0000
Tm 0.1653 0.8347 0.5000
Tm 0.3328 0.6672 0.0000
Tm 0.5000 0.5000 0.5000
Tm 0.6672 0.3328 0.0000
Tm 0.8347 0.1653 0.5000
Bi 0.0841 0.4197 0.2518
Bi 0.2525 0.2525 0.7496
Bi 0.4197 0.0841 0.2518
Bi 0.5803 0.9159 0.7482
Bi 0.7475 0.7475 0.2504
Bi 0.9159 0.5803 0.7482

Principal peaks in the range 2θ from 10° to 90°, most intense first:
28.5 deg, rel. 100; 40.8 deg, rel. 78; 66.8 deg, rel. 37; 50.5 deg, rel. 28; 74.2 deg, rel. 28; 59.0 deg, rel. 13; 88.3 deg, rel. 9; 24.6 deg, rel. 4